1.
For Ba2YAg5S6, a structure optimized by DFT (PBE) gives the simulated powder X-ray diffraction pattern in this record (λ = 1.5418 Å (Cu Kα)).

Crystal structure
a = 14.0767 Å, b = 4.2307 Å, c = 11.2692 Å
α = 90.00°, β = 95.03°, γ = 90.00°
Space group C2/m (No. 12)
One atom of each set of equivalent atoms:
Ba 0.2486 0.0000 0.2964 [4 per cell]
Y 0.0000 0.0000 0.5000 [2 per cell]
Ag 0.0000 0.5000 0.0000 [2 per cell]
Ag 0.0187 0.5000 0.2564 [4 per cell]
Ag 0.1484 0.0000 0.9624 [4 per cell]
S 0.0866 0.0000 0.7348 [4 per cell]
S 0.1253 0.5000 0.4544 [4 per cell]
S 0.1581 0.5000 0.1022 [4 per cell]

Main lines, in order of rising 2θ (10 to 90 degrees two-theta):
3.742 Å, I = 17; 3.246 Å, I = 35; 3.137 Å, I = 18; 3.068 Å, I = 100; 2.807 Å, I = 33; 2.784 Å, I = 16; 2.530 Å, I = 13; 2.337 Å, I = 37; 2.256 Å, I = 13; 2.155 Å, I = 26; 2.115 Å, I = 31; 1.879 Å, I = 15

2.
For BaAg2SnSe4, a structure optimized by DFT (PBE) gives the simulated powder X-ray diffraction pattern in this record (λ = 1.5418 Å (Cu Kα)).

Crystal structure
a = 7.1991 Å, b = 7.6207 Å, c = 8.5820 Å
α = 90.00°, β = 90.00°, γ = 90.00°
Space group I222 (No. 23)
One atom of each set of equivalent atoms:
Ba 0.0000 0.0000 0.0000 [2 per cell]
Ag 0.0000 0.5000 0.1904 [4 per cell]
Sn 0.0000 0.0000 0.5000 [2 per cell]
Se 0.2055 0.1954 0.3261 [8 per cell]

Main lines, in order of rising 2θ (10 to 90 degrees two-theta):
5.698 Å, I = 12; 3.318 Å, I = 100; 3.135 Å, I = 18; 2.678 Å, I = 13; 2.617 Å, I = 58; 2.180 Å, I = 10; 2.092 Å, I = 29; 2.019 Å, I = 32; 1.985 Å, I = 14; 1.800 Å, I = 14; 1.680 Å, I = 12; 1.255 Å, I = 11

3.
For BaAg2Sn2, a structure optimized by DFT (PBE) gives the simulated powder X-ray diffraction pattern in this record (λ = 1.5418 Å (Cu Kα)).

Crystal structure
a = 4.9096 Å, b = 4.9096 Å, c = 11.5620 Å
α = 90.00°, β = 90.00°, γ = 90.00°
Space group I4/mmm (No. 139)
One atom of each set of equivalent atoms:
Ba 0.0000 0.0000 0.0000 [2 per cell]
Ag 0.0000 0.5000 0.2500 [4 per cell]
Sn 0.0000 0.0000 0.3737 [4 per cell]

Main lines, in order of rising 2θ (10 to 90 degrees two-theta):
3.032 Å, I = 79; 2.976 Å, I = 100; 2.455 Å, I = 85; 2.221 Å, I = 40; 2.092 Å, I = 26; 1.908 Å, I = 42; 1.736 Å, I = 29; 1.685 Å, I = 19; 1.592 Å, I = 22; 1.499 Å, I = 24; 1.245 Å, I = 20; 1.098 Å, I = 18

4.
For BaSr3Ag4, a structure optimized by DFT (PBE) gives the simulated powder X-ray diffraction pattern in this record (λ = 1.5418 Å (Cu Kα)).

Crystal structure
a = 6.4513 Å, b = 4.9200 Å, c = 8.3707 Å
α = 90.00°, β = 90.94°, γ = 90.00°
Space group Pm (No. 6)
One atom of each set of equivalent atoms:
Ba 0.0000 0.0000 0.0000 [1 per cell]
Sr 0.2632 0.5000 0.3633 [1 per cell]
Sr 0.4971 0.5000 0.8572 [1 per cell]
Sr 0.7607 0.0000 0.4994 [1 per cell]
Ag 0.0079 0.5000 0.7068 [1 per cell]
Ag 0.2544 0.0000 0.6397 [1 per cell]
Ag 0.5060 0.0000 0.1476 [1 per cell]
Ag 0.7457 0.5000 0.2199 [1 per cell]

Main lines, in order of rising 2θ (10 to 90 degrees two-theta):
5.069 Å, I = 30; 3.188 Å, I = 85; 3.026 Å, I = 33; 2.993 Å, I = 29; 2.872 Å, I = 61; 2.844 Å, I = 53; 2.577 Å, I = 100; 2.557 Å, I = 71; 2.545 Å, I = 24; 2.460 Å, I = 61; 1.909 Å, I = 21; 1.544 Å, I = 20

5.
For Ba3SrAg4, a structure optimized by DFT (PBE) gives the simulated powder X-ray diffraction pattern in this record (λ = 1.5418 Å (Cu Kα)).

Crystal structure
a = 6.6218 Å, b = 4.9887 Å, c = 8.6560 Å
α = 90.00°, β = 90.73°, γ = 90.00°
Space group Pm (No. 6)
One atom of each set of equivalent atoms:
Ba 0.0000 0.0000 0.0000 [1 per cell]
Ba 0.2397 0.0000 0.4955 [1 per cell]
Ba 0.7371 0.5000 0.6373 [1 per cell]
Sr 0.5018 0.5000 0.1364 [1 per cell]
Ag 0.2526 0.5000 0.7868 [1 per cell]
Ag 0.4877 0.0000 0.8565 [1 per cell]
Ag 0.7469 0.0000 0.3481 [1 per cell]
Ag 0.9860 0.5000 0.2815 [1 per cell]

Main lines, in order of rising 2θ (10 to 90 degrees two-theta):
5.227 Å, I = 22; 3.607 Å, I = 30; 3.269 Å, I = 96; 3.105 Å, I = 39; 3.079 Å, I = 37; 2.942 Å, I = 64; 2.920 Å, I = 55; 2.657 Å, I = 32; 2.635 Å, I = 100; 2.620 Å, I = 70; 2.494 Å, I = 64; 1.820 Å, I = 36

6.
For BaYAgTe3, a structure optimized by DFT (PBE) gives the simulated powder X-ray diffraction pattern in this record (λ = 1.5418 Å (Cu Kα)).

Crystal structure
a = 4.5392 Å, b = 15.1899 Å, c = 11.5346 Å
α = 90.00°, β = 90.00°, γ = 90.00°
Space group Cmcm (No. 63)
One atom of each set of equivalent atoms:
Ba 0.0000 0.2438 0.2500 [4 per cell]
Y 0.0000 0.0000 0.0000 [4 per cell]
Ag 0.0000 0.4687 0.7500 [4 per cell]
Te 0.0000 0.0801 0.7500 [4 per cell]
Te 0.0000 0.3619 0.5507 [8 per cell]

Main lines, in order of rising 2θ (10 to 90 degrees two-theta):
3.430 Å, I = 29; 3.243 Å, I = 100; 3.172 Å, I = 24; 2.916 Å, I = 78; 2.883 Å, I = 64; 2.538 Å, I = 18; 2.315 Å, I = 52; 2.270 Å, I = 36; 2.112 Å, I = 23; 1.905 Å, I = 34; 1.783 Å, I = 19; 1.621 Å, I = 18

7.
For Cs2AgBiBr6, a structure optimized by DFT (PBE) gives the simulated powder X-ray diffraction pattern in this record (λ = 1.5418 Å (Cu Kα)).

Crystal structure
a = 11.4883 Å, b = 11.4883 Å, c = 11.4883 Å
α = 90.00°, β = 90.00°, γ = 90.00°
Space group Fm-3m (No. 225)
One atom of each set of equivalent atoms:
Cs 0.2500 0.2500 0.2500 [8 per cell]
Ag 0.0000 0.0000 0.0000 [4 per cell]
Bi 0.0000 0.0000 0.5000 [4 per cell]
Br 0.0000 0.0000 0.2492 [24 per cell]

Main lines, in order of rising 2θ (10 to 90 degrees two-theta):
5.744 Å, I = 23; 4.062 Å, I = 71; 3.316 Å, I = 33; 2.872 Å, I = 100; 2.345 Å, I = 34; 2.031 Å, I = 73; 1.816 Å, I = 16; 1.732 Å, I = 14; 1.658 Å, I = 25; 1.535 Å, I = 18; 1.284 Å, I = 33; 1.173 Å, I = 25

8.
For K2AgBiBr6, a structure optimized by DFT (PBE) gives the simulated powder X-ray diffraction pattern in this record (λ = 1.5418 Å (Cu Kα)).

Crystal structure
a = 11.3733 Å, b = 11.3733 Å, c = 11.3733 Å
α = 90.00°, β = 90.00°, γ = 90.00°
Space group Fm-3m (No. 225)
One atom of each set of equivalent atoms:
K 0.2500 0.2500 0.2500 [8 per cell]
Ag 0.0000 0.0000 0.0000 [4 per cell]
Bi 0.0000 0.0000 0.5000 [4 per cell]
Br 0.0000 0.0000 0.2480 [24 per cell]

Main lines, in order of rising 2θ (10 to 90 degrees two-theta):
5.687 Å, I = 100; 4.021 Å, I = 32; 3.283 Å, I = 16; 2.843 Å, I = 94; 2.543 Å, I = 56; 2.322 Å, I = 15; 2.011 Å, I = 68; 1.896 Å, I = 30; 1.642 Å, I = 23; 1.379 Å, I = 17; 1.272 Å, I = 30; 1.161 Å, I = 23